Structure and calculated powder diffractogram of NdGePt (the PBE geometry in the Materials Project; a wavelength of 1.5418 Å).
Neutral-atom scattering factors, no anomalous dispersion.

Structural model:
Lattice parameters (Å, degrees): 10.639 4.432 7.343 90.00 132.42 90.00
Positions (direct):
Nd1 0.045 0.000 0.309
Nd2 0.455 0.500 0.691
Nd3 0.545 0.500 0.309
Nd4 0.955 0.000 0.691
Ge1 0.162 0.500 0.098
Ge2 0.338 0.000 0.902
Ge3 0.662 0.000 0.098
Ge4 0.838 0.500 0.902
Pt1 0.180 0.500 0.719
Pt2 0.320 0.000 0.281
Pt3 0.680 0.000 0.719
Pt4 0.820 0.500 0.281

The 12 most intense peaks (10 to 90 degrees two-theta), by angle:
two_theta  intensity
16.7  16
23.4  25
32.6  58
33.0  35
33.5  36
33.8  100
36.7  18
38.8  17
40.0  75
40.7  48
53.4  22
71.3  17

Structure and calculated powder diffractogram of NdGeRh (the PBE geometry in the Materials Project; a wavelength of 1.5418 Å).
Neutral-atom scattering factors, no anomalous dispersion.

Structural model:
Lattice parameters (Å, degrees): 7.248 4.464 7.541 90.00 90.00 90.00
Positions (direct):
Nd1 0.009 0.250 0.190
Nd2 0.491 0.750 0.690
Nd3 0.509 0.250 0.310
Nd4 0.991 0.750 0.810
Ge1 0.202 0.250 0.603
Ge2 0.298 0.750 0.103
Ge3 0.702 0.250 0.897
Ge4 0.798 0.750 0.397
Rh1 0.152 0.750 0.428
Rh2 0.348 0.250 0.928
Rh3 0.652 0.750 0.072
Rh4 0.848 0.250 0.572

The 12 most intense peaks (10 to 90 degrees two-theta), by angle:
two_theta  intensity
33.5  86
34.0  100
34.3  29
37.9  20
39.2  36
40.4  48
41.2  46
54.0  16
56.1  16
57.5  23
66.3  30
69.4  15

Structure and calculated powder diffractogram of Nd2Ge3Rh (the PBE geometry in the Materials Project; a wavelength of 1.5418 Å).
Neutral-atom scattering factors, no anomalous dispersion.

Structural model:
Lattice parameters (Å, degrees): 4.180 4.314 7.404 90.00 90.00 90.00
Positions (direct):
Nd1 0.000 0.000 0.000
Nd2 0.000 0.500 0.488
Ge1 0.500 0.000 0.651
Ge2 0.500 0.500 0.168
Ge3 0.500 0.500 0.830
Rh1 0.500 0.000 0.322

The 12 most intense peaks (10 to 90 degrees two-theta), by angle:
two_theta  intensity
32.2  100
32.3  50
41.9  23
42.2  44
43.3  21
53.9  24
54.2  11
61.8  14
62.0  27
70.4  10
71.0  10
72.4  14

Structure and calculated powder diffractogram of NdGe2Rh (the PBE geometry in the Materials Project; a wavelength of 1.5418 Å).
Neutral-atom scattering factors, no anomalous dispersion.

Structural model:
Lattice parameters (Å, degrees): 4.333 17.099 4.398 90.00 90.00 90.00
Positions (direct):
Nd1 0.000 0.107 0.250
Nd2 0.000 0.893 0.750
Nd3 0.500 0.393 0.750
Nd4 0.500 0.607 0.250
Ge1 0.000 0.252 0.750
Ge2 0.000 0.460 0.250
Ge3 0.000 0.540 0.750
Ge4 0.000 0.748 0.250
Ge5 0.500 0.040 0.750
Ge6 0.500 0.248 0.250
Ge7 0.500 0.752 0.750
Ge8 0.500 0.960 0.250
Rh1 0.000 0.319 0.250
Rh2 0.000 0.681 0.750
Rh3 0.500 0.181 0.750
Rh4 0.500 0.819 0.250

The 12 most intense peaks (10 to 90 degrees two-theta), by angle:
two_theta  intensity
10.3  15
29.4  43
33.0  100
33.4  59
37.6  36
41.0  41
41.7  40
47.3  17
52.6  18
53.9  30
57.4  21
59.9  27

Structure and calculated powder diffractogram of Nd2Ge5Rh3 (the PBE geometry in the Materials Project; a wavelength of 1.5418 Å).
Neutral-atom scattering factors, no anomalous dispersion.

Structural model:
Lattice parameters (Å, degrees): 8.482 8.482 8.482 106.22 88.75 137.94
Positions (direct):
Nd1 0.134 0.231 0.365
Nd2 0.366 0.731 0.098
Nd3 0.634 0.269 0.902
Nd4 0.866 0.769 0.635
Ge1 0.028 0.750 0.278
Ge2 0.099 0.660 0.759
Ge3 0.250 0.250 0.000
Ge4 0.401 0.160 0.561
Ge5 0.472 0.750 0.722
Ge6 0.528 0.250 0.278
Ge7 0.599 0.840 0.439
Ge8 0.750 0.750 0.000
Ge9 0.901 0.340 0.241
Ge10 0.972 0.250 0.722
Rh1 0.140 0.894 0.034
Rh2 0.250 0.750 0.500
Rh3 0.360 0.394 0.753
Rh4 0.640 0.606 0.247
Rh5 0.750 0.250 0.500
Rh6 0.860 0.106 0.966

The 12 most intense peaks (10 to 90 degrees two-theta), by angle:
two_theta  intensity
33.7  100
34.3  83
34.4  75
39.1  17
42.1  95
46.5  19
49.5  26
54.8  25
55.0  20
60.9  19
62.7  20
71.8  17

Structure and calculated powder diffractogram of Nd2Ge5Rh3 (the PBE geometry in the Materials Project; a wavelength of 1.5418 Å).
Neutral-atom scattering factors, no anomalous dispersion.

Structural model:
Lattice parameters (Å, degrees): 8.453 8.453 6.048 110.31 110.31 92.03
Positions (direct):
Nd1 0.095 0.365 0.232
Nd2 0.365 0.095 0.732
Nd3 0.635 0.905 0.268
Nd4 0.905 0.635 0.768
Ge1 0.005 0.995 0.750
Ge2 0.239 0.435 0.836
Ge3 0.277 0.723 0.750
Ge4 0.283 0.717 0.250
Ge5 0.435 0.239 0.336
Ge6 0.565 0.761 0.664
Ge7 0.717 0.283 0.750
Ge8 0.723 0.277 0.250
Ge9 0.761 0.565 0.164
Ge10 0.995 0.005 0.250
Rh1 0.037 0.754 0.386
Rh2 0.246 0.963 0.114
Rh3 0.499 0.501 0.250
Rh4 0.501 0.499 0.750
Rh5 0.754 0.037 0.886
Rh6 0.963 0.246 0.614

The 12 most intense peaks (10 to 90 degrees two-theta), by angle:
two_theta  intensity
29.4  16
29.5  17
33.5  50
33.9  56
34.2  52
34.4  73
34.8  40
42.1  100
49.4  14
54.7  24
55.5  13
61.3  20

Structure and calculated powder diffractogram of Nd3Ge2Rh2 (the PBE geometry in the Materials Project; a wavelength of 1.5418 Å).
Neutral-atom scattering factors, no anomalous dispersion.

Structural model:
Lattice parameters (Å, degrees): 5.709 8.140 13.462 90.00 90.00 90.00
Positions (direct):
Nd1 0.148 0.107 0.101
Nd2 0.148 0.107 0.399
Nd3 0.148 0.393 0.601
Nd4 0.148 0.393 0.899
Nd5 0.352 0.748 0.750
Nd6 0.352 0.752 0.250
Nd7 0.648 0.248 0.750
Nd8 0.648 0.252 0.250
Nd9 0.852 0.607 0.101
Nd10 0.852 0.607 0.399
Nd11 0.852 0.893 0.601
Nd12 0.852 0.893 0.899
Ge1 0.152 0.104 0.750
Ge2 0.152 0.396 0.250
Ge3 0.355 0.750 0.000
Ge4 0.355 0.750 0.500
Ge5 0.645 0.250 0.000
Ge6 0.645 0.250 0.500
Ge7 0.848 0.604 0.750
Ge8 0.848 0.896 0.250
Rh1 0.379 0.035 0.592
Rh2 0.379 0.035 0.908
Rh3 0.379 0.465 0.092
Rh4 0.379 0.465 0.408
Rh5 0.621 0.535 0.592
Rh6 0.621 0.535 0.908
Rh7 0.621 0.965 0.092
Rh8 0.621 0.965 0.408

The 12 most intense peaks (10 to 90 degrees two-theta), by angle:
two_theta  intensity
29.6  31
32.8  57
33.3  52
33.6  48
33.9  22
34.6  46
36.7  77
39.0  100
40.2  37
47.4  24
55.5  27
65.4  23

Structure and calculated powder diffractogram of Nd3Ge13Ru4 (the PBE geometry in the Materials Project; a wavelength of 1.5418 Å).
Neutral-atom scattering factors, no anomalous dispersion.

Structural model:
Lattice parameters (Å, degrees): 9.158 9.158 9.158 90.00 90.00 90.00
Positions (direct):
Nd1 0.000 0.250 0.500
Nd2 0.000 0.750 0.500
Nd3 0.250 0.500 0.000
Nd4 0.500 0.000 0.250
Nd5 0.500 0.000 0.750
Nd6 0.750 0.500 0.000
Ge1 0.000 0.000 0.000
Ge2 0.000 0.295 0.146
Ge3 0.000 0.295 0.854
Ge4 0.000 0.705 0.146
Ge5 0.000 0.705 0.854
Ge6 0.146 0.000 0.295
Ge7 0.146 0.000 0.705
Ge8 0.205 0.500 0.354
Ge9 0.205 0.500 0.646
Ge10 0.295 0.146 0.000
Ge11 0.295 0.854 0.000
Ge12 0.354 0.205 0.500
Ge13 0.354 0.795 0.500
Ge14 0.500 0.354 0.205
Ge15 0.500 0.354 0.795
Ge16 0.500 0.500 0.500
Ge17 0.500 0.646 0.205
Ge18 0.500 0.646 0.795
Ge19 0.646 0.205 0.500
Ge20 0.646 0.795 0.500
Ge21 0.705 0.146 0.000
Ge22 0.705 0.854 0.000
Ge23 0.795 0.500 0.354
Ge24 0.795 0.500 0.646
Ge25 0.854 0.000 0.295
Ge26 0.854 0.000 0.705
Ru1 0.250 0.250 0.250
Ru2 0.250 0.250 0.750
Ru3 0.250 0.750 0.250
Ru4 0.250 0.750 0.750
Ru5 0.750 0.250 0.250
Ru6 0.750 0.250 0.750
Ru7 0.750 0.750 0.250
Ru8 0.750 0.750 0.750

The 12 most intense peaks (10 to 90 degrees two-theta), by angle:
two_theta  intensity
19.4  10
21.7  14
33.9  20
35.3  100
36.7  36
39.4  37
40.6  12
48.7  23
58.8  14
62.5  15
67.9  19
68.8  10

Structure and calculated powder diffractogram of NdGeRu (the PBE geometry in the Materials Project; a wavelength of 1.5418 Å).
Neutral-atom scattering factors, no anomalous dispersion.

Structural model:
Lattice parameters (Å, degrees): 4.317 4.317 6.901 90.00 90.00 90.00
Positions (direct):
Nd1 0.250 0.250 0.186
Nd2 0.750 0.750 0.814
Ge1 0.250 0.250 0.692
Ge2 0.750 0.750 0.308
Ru1 0.250 0.750 0.500
Ru2 0.750 0.250 0.500

The 12 most intense peaks (10 to 90 degrees two-theta), by angle:
two_theta  intensity
12.8  33
24.3  20
29.3  22
32.1  46
33.2  56
39.4  100
41.9  65
54.5  27
57.5  23
60.7  21
73.6  22
74.8  30

Structure and calculated powder diffractogram of Nd6Ge3S14 (the PBE geometry in the Materials Project; a wavelength of 1.5418 Å).
Neutral-atom scattering factors, no anomalous dispersion.

Structural model:
Lattice parameters (Å, degrees): 10.274 10.274 5.799 90.00 90.00 120.00
Positions (direct):
Nd1 0.025 0.460 0.000
Nd2 0.309 0.207 0.495
Nd3 0.435 0.975 0.000
Nd4 0.540 0.565 0.000
Nd5 0.793 0.102 0.495
Nd6 0.898 0.691 0.495
Ge1 0.000 0.000 0.078
Ge2 0.333 0.667 0.582
Ge3 0.667 0.333 0.734
S1 0.000 0.000 0.699
S2 0.080 0.228 0.235
S3 0.148 0.920 0.235
S4 0.186 0.747 0.737
S5 0.253 0.439 0.737
S6 0.333 0.667 0.202
S7 0.411 0.242 0.976
S8 0.500 0.077 0.486
S9 0.561 0.814 0.737
S10 0.577 0.500 0.486
S11 0.758 0.170 0.976
S12 0.772 0.852 0.235
S13 0.830 0.589 0.976
S14 0.923 0.423 0.486

The 12 most intense peaks (10 to 90 degrees two-theta), by angle:
two_theta  intensity
20.0  27
23.1  34
25.2  100
26.5  24
34.9  38
36.4  38
37.0  37
39.7  34
41.1  27
47.2  24
48.4  21
49.5  22

Structure and calculated powder diffractogram of Nd6Ge3Se14 (the PBE geometry in the Materials Project; a wavelength of 1.5418 Å).
Neutral-atom scattering factors, no anomalous dispersion.

Structural model:
Lattice parameters (Å, degrees): 10.706 10.706 6.098 90.00 90.00 120.00
Positions (direct):
Nd1 0.025 0.464 0.000
Nd2 0.309 0.203 0.498
Nd3 0.439 0.975 0.000
Nd4 0.536 0.561 0.000
Nd5 0.797 0.106 0.498
Nd6 0.894 0.691 0.498
Ge1 0.000 0.000 0.080
Ge2 0.333 0.667 0.582
Ge3 0.667 0.333 0.734
Se1 0.000 0.000 0.695
Se2 0.084 0.234 0.242
Se3 0.150 0.916 0.242
Se4 0.184 0.751 0.744
Se5 0.249 0.433 0.744
Se6 0.333 0.667 0.197
Se7 0.410 0.238 0.974
Se8 0.502 0.076 0.484
Se9 0.567 0.816 0.744
Se10 0.574 0.498 0.484
Se11 0.762 0.172 0.974
Se12 0.766 0.850 0.242
Se13 0.828 0.590 0.974
Se14 0.924 0.426 0.484

The 12 most intense peaks (10 to 90 degrees two-theta), by angle:
two_theta  intensity
19.1  32
24.1  64
29.4  73
32.5  68
33.5  89
33.8  43
34.9  84
35.2  100
38.0  57
39.2  51
45.1  42
47.3  33

Structure and calculated powder diffractogram of Nd2TiGe2 (the PBE geometry in the Materials Project; a wavelength of 1.5418 Å).
Neutral-atom scattering factors, no anomalous dispersion.

Structural model:
Lattice parameters (Å, degrees): 3.013 3.013 14.630 90.00 90.00 90.00
Positions (direct):
Nd1 0.000 0.000 0.121
Nd2 0.000 0.000 0.879
Ti1 0.000 0.000 0.500
Ge1 0.000 0.000 0.327
Ge2 0.000 0.000 0.673

The 12 most intense peaks (10 to 90 degrees two-theta), by angle:
two_theta  intensity
24.3  30
29.6  100
30.6  27
38.7  36
42.4  37
43.1  42
49.5  18
53.2  22
61.6  12
69.8  17
75.1  10
78.1  14

Please write out number 6 again, unchanged.
Structure and calculated powder diffractogram of Nd2Ge5Rh3 (the PBE geometry in the Materials Project; a wavelength of 1.5418 Å).
Neutral-atom scattering factors, no anomalous dispersion.

Structural model:
Lattice parameters (Å, degrees): 8.453 8.453 6.048 110.31 110.31 92.03
Positions (direct):
Nd1 0.095 0.365 0.232
Nd2 0.365 0.095 0.732
Nd3 0.635 0.905 0.268
Nd4 0.905 0.635 0.768
Ge1 0.005 0.995 0.750
Ge2 0.239 0.435 0.836
Ge3 0.277 0.723 0.750
Ge4 0.283 0.717 0.250
Ge5 0.435 0.239 0.336
Ge6 0.565 0.761 0.664
Ge7 0.717 0.283 0.750
Ge8 0.723 0.277 0.250
Ge9 0.761 0.565 0.164
Ge10 0.995 0.005 0.250
Rh1 0.037 0.754 0.386
Rh2 0.246 0.963 0.114
Rh3 0.499 0.501 0.250
Rh4 0.501 0.499 0.750
Rh5 0.754 0.037 0.886
Rh6 0.963 0.246 0.614

The 12 most intense peaks (10 to 90 degrees two-theta), by angle:
two_theta  intensity
29.4  16
29.5  17
33.5  50
33.9  56
34.2  52
34.4  73
34.8  40
42.1  100
49.4  14
54.7  24
55.5  13
61.3  20